Entry 1:
Simulated powder XRD pattern
Compound: ErBiAu2O8
Radiation: Cu Kα X-rays
Structure: DFT lattice parameters and positions (GGA-PBE)
Intensities are scaled so that the largest is 1000.

Atomic structure:
```
data_ErBiAu2O8
_chemical_formula_sum 'Er2 Bi2 Au4 O16'
_cell_length_a 5.5036
_cell_length_b 5.5036
_cell_length_c 10.3137
_cell_angle_alpha 90.00
_cell_angle_beta 90.00
_cell_angle_gamma 90.00
_space_group_name_H-M_alt 'I -4'
_space_group_IT_number 82
loop_
_space_group_symop_operation_xyz
'x,y,z'
'y,-x,-z'
'-x,-y,z'
'-y,x,-z'
'x+1/2,y+1/2,z+1/2'
'y+1/2,-x+1/2,-z+1/2'
'-x+1/2,-y+1/2,z+1/2'
'-y+1/2,x+1/2,-z+1/2'
loop_
_atom_site_label
_atom_site_type_symbol
_atom_site_fract_x
_atom_site_fract_y
_atom_site_fract_z
Er1 Er 0.0000 0.0000 0.0000
Bi1 Bi 0.0000 0.5000 0.2500
Au1 Au 0.0000 0.0000 0.5000
Au2 Au 0.0000 0.5000 0.7500
O1 O 0.1308 0.3308 0.4578
O2 O 0.1421 0.8264 0.7958
```

Peak list (10 most intense, 10° ≤ 2θ ≤ 80°, by angle)
2θ/deg  Rel. int.  index
28.7  1000  1 1 2
32.5  354  2 0 0
34.8  196  0 0 4
46.7  154  2 2 0
48.4  259  2 0 4
55.7  404  1 3 2
58.7  154  1 1 6
59.5  148  2 2 4
77.6  75  4 2 0
78.2  136  3 1 6

Entry 2:
Simulated powder XRD pattern
Compound: Er4BiAuSe2
Radiation: Cu Kα X-rays
Structure: DFT lattice parameters and positions (GGA-PBE)
Intensities are scaled so that the largest is 1000.

Atomic structure:
```
data_Er4BiAuSe2
_chemical_formula_sum 'Er4 Bi1 Au1 Se2'
_cell_length_a 7.0535
_cell_length_b 4.0921
_cell_length_c 7.5451
_cell_angle_alpha 90.00
_cell_angle_beta 108.21
_cell_angle_gamma 90.00
_space_group_name_H-M_alt 'P 1 2/m 1'
_space_group_IT_number 10
loop_
_space_group_symop_operation_xyz
'x,y,z'
'-x,-y,-z'
'-x,y,-z'
'x,-y,z'
loop_
_atom_site_label
_atom_site_type_symbol
_atom_site_fract_x
_atom_site_fract_y
_atom_site_fract_z
Er1 Er 0.2334 0.0000 0.2346
Er2 Er 0.2374 0.5000 0.7562
Bi1 Bi 0.5000 0.5000 0.5000
Au1 Au 0.0000 0.0000 0.5000
Se1 Se 0.0000 0.5000 0.0000
Se2 Se 0.5000 0.0000 0.0000
```

Peak list (10 most intense, 10° ≤ 2θ ≤ 80°, by angle)
2θ/deg  Rel. int.  index
25.5  68  2 0 -1
30.3  1000  1 1 1
42.2  401  1 1 -3
44.3  120  0 2 0
44.4  230  3 1 -1
51.0  76  0 0 4
54.6  128  2 2 -2
62.9  81  2 2 2
69.8  119  0 2 4
75.7  69  2 0 -6

Entry 3:
Simulated powder XRD pattern
Compound: LiEuBiAu
Radiation: Cu Kα X-rays
Structure: DFT lattice parameters and positions (GGA-PBE)
Intensities are scaled so that the largest is 1000.

Atomic structure:
```
data_LiEuBiAu
_chemical_formula_sum 'Li4 Eu4 Bi4 Au4'
_cell_length_a 7.3712
_cell_length_b 7.3712
_cell_length_c 7.3712
_cell_angle_alpha 90.00
_cell_angle_beta 90.00
_cell_angle_gamma 90.00
_space_group_name_H-M_alt 'F -4 3 m'
_space_group_IT_number 216
_space_group_name_Hall 'F -4 2 3'
loop_
_atom_site_label
_atom_site_type_symbol
_atom_site_fract_x
_atom_site_fract_y
_atom_site_fract_z
Li1 Li 0.0000 0.0000 0.0000
Eu1 Eu 0.0000 0.0000 0.5000
Bi1 Bi 0.2500 0.2500 0.7500
Au1 Au 0.2500 0.2500 0.2500
```

Peak list (10 most intense, 10° ≤ 2θ ≤ 80°, by angle)
2θ/deg  Rel. int.  index
20.9  158  1 1 1
24.1  231  2 0 0
34.4  1000  2 2 0
40.6  88  3 1 1
42.5  73  2 2 2
49.5  182  4 0 0
55.8  102  4 2 0
61.6  380  4 2 2
72.5  119  4 4 0
77.7  51  6 0 0

Entry 4:
Simulated powder XRD pattern
Compound: BiAu2F8
Radiation: Cu Kα X-rays
Structure: DFT lattice parameters and positions (GGA-PBE)
Intensities are scaled so that the largest is 1000.

Atomic structure:
```
data_BiAu2F8
_chemical_formula_sum 'Bi1 Au2 F8'
_cell_length_a 7.1517
_cell_length_b 7.1517
_cell_length_c 4.2571
_cell_angle_alpha 90.00
_cell_angle_beta 90.00
_cell_angle_gamma 120.00
_space_group_name_H-M_alt 'P -3'
_space_group_IT_number 147
loop_
_space_group_symop_operation_xyz
'x,y,z'
'-x,-y,-z'
'-y,x-y,z'
'y,-x+y,-z'
'-x+y,-x,z'
'x-y,x,-z'
loop_
_atom_site_label
_atom_site_type_symbol
_atom_site_fract_x
_atom_site_fract_y
_atom_site_fract_z
Bi1 Bi 0.0000 0.0000 0.0000
Au1 Au 0.3333 0.6667 0.7386
F1 F 0.1527 0.3072 0.7425
F2 F 0.3333 0.6667 0.2396
```

Peak list (10 most intense, 10° ≤ 2θ ≤ 80°, by angle)
2θ/deg  Rel. int.  index
24.9  1000  1 1 0
25.4  834  1 0 1
35.9  202  0 2 1
43.9  226  3 0 0
44.2  425  2 1 1
45.0  183  0 1 2
51.1  218  2 2 0
52.1  170  2 0 2
57.9  175  4 -3 1
58.6  195  3 -2 2

Entry 5:
Simulated powder XRD pattern
Compound: Fe2BiAu
Radiation: Cu Kα X-rays
Structure: DFT lattice parameters and positions (GGA-PBE)
Intensities are scaled so that the largest is 1000.

Atomic structure:
```
data_Fe2BiAu
_chemical_formula_sum 'Fe8 Bi4 Au4'
_cell_length_a 4.1282
_cell_length_b 4.1282
_cell_length_c 18.7567
_cell_angle_alpha 90.00
_cell_angle_beta 90.00
_cell_angle_gamma 90.00
_space_group_name_H-M_alt 'I -4 2 d'
_space_group_IT_number 122
_space_group_name_Hall 'I -4 2bw'
loop_
_atom_site_label
_atom_site_type_symbol
_atom_site_fract_x
_atom_site_fract_y
_atom_site_fract_z
Fe1 Fe 0.1737 0.2500 0.1250
Bi1 Bi 0.0000 0.0000 0.5000
Au1 Au 0.0000 0.0000 0.0000
```

Peak list (10 most intense, 10° ≤ 2θ ≤ 80°, by angle)
2θ/deg  Rel. int.  index
18.9  401  0 0 4
32.1  1000  1 1 2
38.4  243  0 0 8
42.4  475  1 1 6
43.9  122  2 0 0
48.2  462  2 0 4
58.5  187  1 1 10
73.2  189  3 1 2
76.4  119  2 0 12
79.6  152  3 1 6

Entry 6:
Simulated powder XRD pattern
Compound: GaBiAu3
Radiation: Cu Kα X-rays
Structure: DFT lattice parameters and positions (GGA-PBE)
Intensities are scaled so that the largest is 1000.

Atomic structure:
```
data_GaBiAu3
_chemical_formula_sum 'Ga4 Bi4 Au12'
_cell_length_a 16.9637
_cell_length_b 5.3306
_cell_length_c 5.0369
_cell_angle_alpha 90.00
_cell_angle_beta 103.69
_cell_angle_gamma 90.00
_space_group_name_H-M_alt 'C 1 2/m 1'
_space_group_IT_number 12
loop_
_space_group_symop_operation_xyz
'x,y,z'
'-x,-y,-z'
'-x,y,-z'
'x,-y,z'
'x+1/2,y+1/2,z'
'-x+1/2,-y+1/2,-z'
'-x+1/2,y+1/2,-z'
'x+1/2,-y+1/2,z'
loop_
_atom_site_label
_atom_site_type_symbol
_atom_site_fract_x
_atom_site_fract_y
_atom_site_fract_z
Ga1 Ga 0.1242 0.0000 0.3939
Bi1 Bi 0.1084 0.5000 0.8109
Au1 Au 0.0359 0.0000 0.7828
Au2 Au 0.1989 0.5000 0.3891
Au3 Au 0.2118 0.0000 0.0304
```

Peak list (10 most intense, 10° ≤ 2θ ≤ 80°, by angle)
2θ/deg  Rel. int.  index
23.2  386  3 1 0
31.5  320  4 0 1
32.0  350  3 1 1
33.6  967  0 2 0
35.7  549  2 0 -2
40.2  780  5 1 1
40.3  320  3 1 -2
42.0  1000  7 1 -1
49.9  448  2 2 -2
65.9  312  7 3 -1

Entry 7:
Simulated powder XRD pattern
Compound: Ga2BiAu10
Radiation: Cu Kα X-rays
Structure: DFT lattice parameters and positions (GGA-PBE)
Intensities are scaled so that the largest is 1000.

Atomic structure:
```
data_Ga2BiAu10
_chemical_formula_sum 'Ga2 Bi1 Au10'
_cell_length_a 6.0895
_cell_length_b 6.8713
_cell_length_c 6.9306
_cell_angle_alpha 80.48
_cell_angle_beta 70.00
_cell_angle_gamma 70.21
_space_group_name_H-M_alt 'P -1'
_space_group_IT_number 2
loop_
_space_group_symop_operation_xyz
'x,y,z'
'-x,-y,-z'
loop_
_atom_site_label
_atom_site_type_symbol
_atom_site_fract_x
_atom_site_fract_y
_atom_site_fract_z
Ga1 Ga 0.0000 0.0000 0.0000
Ga2 Ga 0.5000 0.0000 0.0000
Bi1 Bi 0.0000 0.0000 0.5000
Au1 Au 0.0000 0.5000 0.5000
Au2 Au 0.0769 0.6558 0.8429
Au3 Au 0.2652 0.2166 0.7464
Au4 Au 0.3323 0.6667 0.1417
Au5 Au 0.4348 0.2049 0.3002
Au6 Au 0.5000 0.5000 0.5000
```

Peak list (10 most intense, 10° ≤ 2θ ≤ 80°, by angle)
2θ/deg  Rel. int.  index
29.7  583  2 1 1
33.7  443  1 2 -1
34.0  581  2 1 2
35.9  699  2 0 2
36.4  565  1 -2 0
37.7  1000  1 1 -2
38.2  846  0 2 2
38.7  964  2 1 -1
39.6  856  2 0 -1
40.5  521  0 2 -2

Entry 8:
Simulated powder XRD pattern
Compound: Ga4Bi2Au9
Radiation: Cu Kα X-rays
Structure: DFT lattice parameters and positions (GGA-PBE)
Intensities are scaled so that the largest is 1000.

Atomic structure:
```
data_Ga4Bi2Au9
_chemical_formula_sum 'Ga4 Bi2 Au9'
_cell_length_a 4.3742
_cell_length_b 4.3742
_cell_length_c 18.6933
_cell_angle_alpha 90.00
_cell_angle_beta 90.00
_cell_angle_gamma 120.00
_space_group_name_H-M_alt 'P -3 m 1'
_space_group_IT_number 164
_space_group_name_Hall '-P 3 2"'
loop_
_atom_site_label
_atom_site_type_symbol
_atom_site_fract_x
_atom_site_fract_y
_atom_site_fract_z
Ga1 Ga 0.3333 0.6667 0.0959
Ga2 Ga 0.3333 0.6667 0.3811
Bi1 Bi 0.3333 0.6667 0.7639
Au1 Au 0.0000 0.0000 0.1441
Au2 Au 0.0000 0.0000 0.3253
Au3 Au 0.0000 0.0000 0.5000
Au4 Au 0.3333 0.6667 0.5708
Au5 Au 0.3333 0.6667 0.9532
```

Peak list (10 most intense, 10° ≤ 2θ ≤ 80°, by angle)
2θ/deg  Rel. int.  index
24.0  283  0 1 1
33.7  849  0 1 5
37.4  744  1 0 6
41.3  1000  1 1 0
54.3  223  2 0 5
56.9  223  0 2 6
70.1  153  1 1 11
70.4  208  1 2 5
72.7  219  2 1 6
75.3  180  3 0 0

Entry 9:
Simulated powder XRD pattern
Compound: K2Ga3BiAu4
Radiation: Cu Kα X-rays
Structure: DFT lattice parameters and positions (GGA-PBE)
Intensities are scaled so that the largest is 1000.

Atomic structure:
```
data_K2Ga3BiAu4
_chemical_formula_sum 'K2 Ga3 Bi1 Au4'
_cell_length_a 4.7867
_cell_length_b 4.7867
_cell_length_c 10.7885
_cell_angle_alpha 90.00
_cell_angle_beta 90.00
_cell_angle_gamma 90.00
_space_group_name_H-M_alt 'P -4 m 2'
_space_group_IT_number 115
loop_
_space_group_symop_operation_xyz
'x,y,z'
'y,-x,-z'
'-x,-y,z'
'-y,x,-z'
'-x,y,z'
'-y,-x,-z'
'x,-y,z'
'y,x,-z'
loop_
_atom_site_label
_atom_site_type_symbol
_atom_site_fract_x
_atom_site_fract_y
_atom_site_fract_z
K1 K 0.0000 0.5000 0.2395
Ga1 Ga 0.0000 0.5000 0.8909
Ga2 Ga 0.5000 0.5000 0.5000
Bi1 Bi 0.0000 0.0000 0.5000
Au1 Au 0.0000 0.0000 0.0000
Au2 Au 0.0000 0.5000 0.6513
Au3 Au 0.5000 0.5000 0.0000
```

Peak list (10 most intense, 10° ≤ 2θ ≤ 80°, by angle)
2θ/deg  Rel. int.  index
16.4  319  0 0 2
20.3  415  1 0 1
24.9  152  1 0 2
31.2  1000  1 1 2
37.6  602  2 0 0
41.3  137  2 0 2
42.9  544  1 1 4
54.2  209  2 2 0
63.9  239  3 1 2
71.5  246  3 1 4

Entry 10:
Simulated powder XRD pattern
Compound: Sr2GaBiAu6
Radiation: Cu Kα X-rays
Structure: DFT lattice parameters and positions (GGA-PBE)
Intensities are scaled so that the largest is 1000.

Atomic structure:
```
data_Sr2GaBiAu6
_chemical_formula_sum 'Sr4 Ga2 Bi2 Au12'
_cell_length_a 5.8873
_cell_length_b 8.9705
_cell_length_c 9.7359
_cell_angle_alpha 90.00
_cell_angle_beta 90.00
_cell_angle_gamma 90.00
_space_group_name_H-M_alt 'P m m n'
_space_group_IT_number 59
loop_
_space_group_symop_operation_xyz
'x,y,z'
'-x,-y,-z'
'-x+1/2,-y+1/2,z'
'x+1/2,y+1/2,-z'
'x+1/2,-y,-z'
'-x+1/2,y,z'
'-x,y+1/2,-z'
'x,-y+1/2,z'
loop_
_atom_site_label
_atom_site_type_symbol
_atom_site_fract_x
_atom_site_fract_y
_atom_site_fract_z
Sr1 Sr 0.2500 0.0007 0.2438
Ga1 Ga 0.2500 0.7500 0.7393
Bi1 Bi 0.2500 0.2500 0.7963
Au1 Au 0.0047 0.7500 0.9551
Au2 Au 0.0090 0.2500 0.4806
Au3 Au 0.2500 0.0058 0.5977
```

Peak list (10 most intense, 10° ≤ 2θ ≤ 80°, by angle)
2θ/deg  Rel. int.  index
17.6  419  1 0 1
19.8  388  0 2 0
27.0  402  0 2 2
31.1  531  1 2 2
35.6  746  2 0 2
36.5  810  2 2 0
37.5  747  1 2 3
40.2  718  0 4 0
41.1  1000  2 2 2
54.8  439  2 4 2

Entry 11:
Simulated powder XRD pattern
Compound: GdBiAu
Radiation: Cu Kα X-rays
Structure: DFT lattice parameters and positions (GGA-PBE)
Intensities are scaled so that the largest is 1000.

Atomic structure:
```
data_GdBiAu
_chemical_formula_sum 'Gd2 Bi2 Au2'
_cell_length_a 3.7065
_cell_length_b 3.7065
_cell_length_c 11.5132
_cell_angle_alpha 90.00
_cell_angle_beta 90.00
_cell_angle_gamma 90.00
_space_group_name_H-M_alt 'I 4 m m'
_space_group_IT_number 107
_space_group_name_Hall 'I 4 -2'
loop_
_atom_site_label
_atom_site_type_symbol
_atom_site_fract_x
_atom_site_fract_y
_atom_site_fract_z
Gd1 Gd 0.0000 0.0000 0.0000
Bi1 Bi 0.0000 0.0000 0.2993
Au1 Au 0.0000 0.0000 0.6318
```

Peak list (10 most intense, 10° ≤ 2θ ≤ 80°, by angle)
2θ/deg  Rel. int.  index
33.6  1000  1 0 3
34.2  520  1 1 0
46.4  46  1 0 5
47.4  75  0 0 6
49.2  190  2 0 0
59.7  152  1 1 6
60.9  372  2 1 3
70.7  93  2 0 6
72.1  62  2 2 0
79.2  45  1 0 9

Entry 12:
Simulated powder XRD pattern
Compound: GeBi5Au4
Radiation: Cu Kα X-rays
Structure: DFT lattice parameters and positions (GGA-PBE)
Intensities are scaled so that the largest is 1000.

Atomic structure:
```
data_GeBi5Au4
_chemical_formula_sum 'Ge2 Bi10 Au8'
_cell_length_a 16.6137
_cell_length_b 4.3062
_cell_length_c 7.3964
_cell_angle_alpha 90.00
_cell_angle_beta 91.96
_cell_angle_gamma 90.00
_space_group_name_H-M_alt 'C 1 2/m 1'
_space_group_IT_number 12
loop_
_space_group_symop_operation_xyz
'x,y,z'
'-x,-y,-z'
'-x,y,-z'
'x,-y,z'
'x+1/2,y+1/2,z'
'-x+1/2,-y+1/2,-z'
'-x+1/2,y+1/2,-z'
'x+1/2,-y+1/2,z'
loop_
_atom_site_label
_atom_site_type_symbol
_atom_site_fract_x
_atom_site_fract_y
_atom_site_fract_z
Ge1 Ge 0.0000 0.0000 0.0000
Bi1 Bi 0.0000 0.0000 0.5000
Bi2 Bi 0.1653 0.5000 0.1717
Bi3 Bi 0.1755 0.5000 0.6238
Au1 Au 0.0148 0.5000 0.7841
Au2 Au 0.1547 0.0000 0.8989
```

Peak list (10 most intense, 10° ≤ 2θ ≤ 80°, by angle)
2θ/deg  Rel. int.  index
28.7  167  3 1 -1
29.1  156  3 1 1
32.4  504  6 0 0
32.5  1000  1 1 2
41.6  506  5 1 -2
42.0  312  0 2 0
51.0  323  7 1 2
53.6  114  4 0 -4
54.0  244  6 2 0
70.7  112  1 3 2

Entry 13:
Simulated powder XRD pattern
Compound: GeBi3Au8
Radiation: Cu Kα X-rays
Structure: DFT lattice parameters and positions (GGA-PBE)
Intensities are scaled so that the largest is 1000.

Atomic structure:
```
data_GeBi3Au8
_chemical_formula_sum 'Ge2 Bi6 Au16'
_cell_length_a 9.8363
_cell_length_b 9.8363
_cell_length_c 6.1077
_cell_angle_alpha 90.00
_cell_angle_beta 90.00
_cell_angle_gamma 120.00
_space_group_name_H-M_alt 'P 63 m c'
_space_group_IT_number 186
_space_group_name_Hall 'P 6c -2c'
loop_
_atom_site_label
_atom_site_type_symbol
_atom_site_fract_x
_atom_site_fract_y
_atom_site_fract_z
Ge1 Ge 0.3333 0.6667 0.0000
Bi1 Bi 0.1545 0.3090 0.2446
Au1 Au 0.0000 0.0000 0.4879
Au2 Au 0.0076 0.5038 0.9819
Au3 Au 0.2055 0.4111 0.7292
Au4 Au 0.3333 0.6667 0.4145
```

Peak list (10 most intense, 10° ≤ 2θ ≤ 80°, by angle)
2θ/deg  Rel. int.  index
31.4  245  2 1 1
34.6  166  1 1 2
34.8  271  3 0 1
36.2  896  2 0 2
36.5  1000  2 2 0
40.7  165  2 1 2
43.5  170  3 0 2
52.4  176  4 0 2
65.6  231  4 2 2
72.9  205  2 2 4